Starting from a PBE+U-relaxed structure, the PXRD pattern of CoSn2H12O6F6 was calculated for copper Kα.
Lines closer than 0.1° are merged.

Structure:
Unit cell a=6.7850 b=7.0556 c=7.2162 alpha=75.37 beta=79.18 gamma=70.77
Positions (direct):
Co (0.0000, 0.0000, 0.0000)
Sn (0.3403, 0.3160, 0.3594)
Sn (0.6597, 0.6841, 0.6406)
H (0.0811, 0.8038, 0.3635)
H (0.1048, 0.7501, 0.7449)
H (0.2263, 0.6331, 0.9277)
H (0.2447, 0.2493, 0.9535)
H (0.2664, 0.9004, 0.2678)
H (0.3486, 0.0873, 0.8158)
H (0.6514, 0.9127, 0.1842)
H (0.7336, 0.0996, 0.7322)
H (0.7553, 0.7507, 0.0465)
H (0.7737, 0.3669, 0.0723)
H (0.8952, 0.2499, 0.2551)
H (0.9189, 0.1962, 0.6365)
O (0.1690, 0.8353, 0.2399)
O (0.1862, 0.7682, 0.8368)
O (0.2135, 0.1623, 0.8807)
O (0.7865, 0.8377, 0.1193)
O (0.8138, 0.2318, 0.1632)
O (0.8310, 0.1647, 0.7601)
F (0.0339, 0.2796, 0.4174)
F (0.2913, 0.4018, 0.0657)
F (0.4327, 0.0096, 0.3144)
F (0.5673, 0.9904, 0.6856)
F (0.7087, 0.5982, 0.9343)
F (0.9661, 0.7204, 0.5826)

Largest 6 diffraction maxima, by angle, 2θ from 10° to 90°:
17.83°, d = 4.974 Å, rel. 100, hkl 1 1 1
19.98°, d = 4.443 Å, rel. 73, hkl 1 0 -1
20.52°, d = 4.327 Å, rel. 60, hkl 0 1 -1
22.23°, d = 3.999 Å, rel. 49, hkl 1 -1 0
27.31°, d = 3.266 Å, rel. 62, hkl 2 1 0
27.74°, d = 3.216 Å, rel. 53, hkl 0 2 1